The following is a theoretical powder XRD pattern of Re2OsSe4Cl2. It was derived from the GGA-PBE geometry in the Materials Project, using a wavelength of 1.5418 Å.

Most intense lines, 2θ = 10–90°, sorted by position:
2theta  intensity
11.48  95
12.66  63
13.13  100
13.61  40
14.60  25
39.57  18
42.02  10
44.79  11
45.59  12
46.00  12

Cell and atoms:
Lattice parameters (Å, degrees): 9.076 9.087 12.177 85.21 88.14 63.38
Atoms (fractional coordinates):
1 Re 0.082 0.327 0.409
2 Re 0.151 0.368 0.609
3 Re 0.327 0.989 0.928
4 Re 0.377 0.039 0.130
5 Re 0.623 0.961 0.870
6 Re 0.673 0.011 0.072
7 Re 0.849 0.632 0.391
8 Re 0.918 0.673 0.591
9 Os 0.155 0.571 0.441
10 Os 0.406 0.231 0.963
11 Os 0.594 0.769 0.037
12 Os 0.845 0.429 0.559
13 Se 0.074 0.139 0.573
14 Se 0.078 0.530 0.252
15 Se 0.132 0.245 0.021
16 Se 0.213 0.609 0.634
17 Se 0.310 0.806 0.090
18 Se 0.360 0.176 0.770
19 Se 0.371 0.275 0.462
20 Se 0.459 0.266 0.157
21 Se 0.541 0.734 0.843
22 Se 0.629 0.725 0.538
23 Se 0.640 0.824 0.230
24 Se 0.690 0.194 0.910
25 Se 0.787 0.391 0.366
26 Se 0.868 0.755 0.979
27 Se 0.922 0.470 0.748
28 Se 0.926 0.861 0.427
29 Cl 0.109 0.971 0.838
30 Cl 0.200 0.081 0.298
31 Cl 0.292 0.520 0.916
32 Cl 0.354 0.654 0.368
33 Cl 0.646 0.346 0.632
34 Cl 0.708 0.480 0.084
35 Cl 0.800 0.919 0.702
36 Cl 0.891 0.029 0.162